Entry 1:
Simulated powder diffractogram of GaAg2AsS4 for Cu Kα X-rays, from a PBE-relaxed structure.
Lines closer than 0.1° are merged.

Structure:
```
GaAg2AsS4
1.0
8.8014 0.0000 0.0000
0.0000 6.6848 0.0000
0.0000 0.0000 6.2067
Ga Ag As S
2 4 2 8
direct
0.0000 0.1485 0.0000
0.5000 0.8515 0.5000
0.2469 0.3181 0.5091
0.2531 0.6819 0.0091
0.7469 0.6819 0.0091
0.7531 0.3181 0.5091
0.0000 0.8019 0.4839
0.5000 0.1981 0.9839
0.0000 0.1345 0.3833
0.0000 0.8245 0.8617
0.2226 0.3033 0.9171
0.2774 0.6967 0.4171
0.5000 0.1755 0.3617
0.5000 0.8655 0.8833
0.7226 0.6967 0.4171
0.7774 0.3033 0.9171
```

Top 8 peaks for 15° ≤ 2θ ≤ 90°, sorted by position:
Position (°2θ)  Rel. int.
24.21  55
26.67  42
28.22  100
28.77  64
41.02  34
45.63  41
50.63  42
54.85  33

Entry 2:
Simulated powder diffractogram of AgAsH for Cu Kα X-rays, from a PBE-relaxed structure.
Lines closer than 0.1° are merged.

Structure:
```
AgAsH
1.0
4.2023 0.0000 0.0000
0.0000 5.5281 0.0000
0.0000 0.0000 9.3442
Ag As H
4 4 4
direct
0.2206 0.0283 0.4747
0.2794 0.9717 0.9747
0.7206 0.4717 0.5253
0.7794 0.5283 0.0253
0.0212 0.9884 0.2175
0.4788 0.0116 0.7175
0.5212 0.5116 0.7825
0.9788 0.4884 0.2825
0.1570 0.5006 0.7954
0.3430 0.4994 0.2954
0.6570 0.9994 0.2046
0.8430 0.0006 0.7046
```

Top 8 peaks for 15° ≤ 2θ ≤ 90°, sorted by position:
Position (°2θ)  Rel. int.
23.21  61
26.65  100
32.39  73
32.93  76
40.23  35
41.99  32
47.45  66
58.62  39

Entry 3:
Simulated powder diffractogram of AgAsH2O4 for Cu Kα X-rays, from a PBE-relaxed structure.
Lines closer than 0.1° are merged.

Structure:
```
AgAsH2O4
1.0
-2.1142 3.2310 3.3356
2.1142 -3.2310 3.3356
2.1142 3.2310 -3.3356
Ag As H O
1 1 2 4
direct
0.0000 0.0000 0.0000
0.5000 0.0000 0.5000
0.3317 0.5000 0.8317
0.6683 0.5000 0.1683
0.2166 0.1533 0.5947
0.4415 0.8467 0.0634
0.5585 0.6219 0.4053
0.7834 0.3781 0.9366
```

Top 8 peaks for 15° ≤ 2θ ≤ 90°, sorted by position:
Position (°2θ)  Rel. int.
24.93  100
26.73  54
27.61  26
37.54  80
38.80  31
46.12  21
54.60  25
59.11  20

Entry 4:
Simulated powder diffractogram of AgAs3H2O9 for Cu Kα X-rays, from a PBE-relaxed structure.
Lines closer than 0.1° are merged.

Structure:
```
AgAs3H2O9
1.0
7.3511 0.0000 0.0000
-2.1133 7.5254 0.0000
-2.2733 -3.6294 6.8472
Ag As H O
2 6 4 18
direct
0.1906 0.1792 0.4552
0.8094 0.8208 0.5448
0.1278 0.6530 0.3290
0.3206 0.1737 0.0535
0.3438 0.5628 0.0216
0.6562 0.4372 0.9784
0.6794 0.8263 0.9465
0.8722 0.3470 0.6710
0.1544 0.8239 0.9004
0.3703 0.6387 0.5701
0.6297 0.3613 0.4299
0.8456 0.1761 0.0996
0.0984 0.8584 0.4518
0.1058 0.5560 0.8517
0.1216 0.9345 0.8864
0.1854 0.3167 0.0027
0.2206 0.5400 0.4649
0.3076 0.7185 0.2325
0.4041 0.2137 0.2859
0.4133 0.4321 0.8205
0.4856 0.8117 0.0354
0.5144 0.1883 0.9646
0.5867 0.5679 0.1795
0.5959 0.7863 0.7141
0.6924 0.2815 0.7675
0.7794 0.4600 0.5351
0.8146 0.6833 0.9973
0.8784 0.0655 0.1136
0.8942 0.4440 0.1483
0.9016 0.1416 0.5482
```

Top 8 peaks for 15° ≤ 2θ ≤ 90°, sorted by position:
Position (°2θ)  Rel. int.
22.61  100
23.65  57
24.54  46
26.03  41
29.05  81
29.61  35
32.07  30
38.44  29